Pm2Sm3Sn4: computed powder XRD pattern (copper Kα), based on a cell relaxed with GGA-PBE.

Top 10 peaks for 10° ≤ 2θ ≤ 90°, low angle first:
- 28.19°, I = 43
- 28.36°, I = 38
- 30.08°, I = 100
- 30.65°, I = 56
- 30.80°, I = 31
- 30.93°, I = 55
- 31.35°, I = 99
- 33.75°, I = 47
- 33.92°, I = 90
- 34.80°, I = 78

Crystal structure
```
Pm2Sm3Sn4
1.0
8.4778 0.0000 0.0000
0.0000 8.4588 0.0000
-2.8889 0.0000 7.5957
Pm Sm Sn
4 6 8
Direct
0.1941 0.1807 0.0629
0.1941 0.3193 0.5629
0.8059 0.6807 0.4371
0.8059 0.8193 0.9371
0.2445 0.6686 0.2365
0.2445 0.8314 0.7365
0.5000 0.0000 0.5000
0.5000 0.5000 0.0000
0.7555 0.1686 0.2635
0.7555 0.3314 0.7635
0.0824 0.5359 0.8336
0.0824 0.9641 0.3336
0.4853 0.1346 0.8660
0.4853 0.3654 0.3660
0.5147 0.6346 0.6340
0.5147 0.8654 0.1340
0.9176 0.0359 0.6664
0.9176 0.4641 0.1664
```

=====

K2LaP2Se7: computed powder XRD pattern (copper Kα), based on a cell relaxed with GGA-PBE.

Top 10 peaks for 10° ≤ 2θ ≤ 90°, low angle first:
- 10.42°, I = 100
- 12.78°, I = 67
- 15.19°, I = 55
- 26.08°, I = 60
- 29.64°, I = 61
- 29.97°, I = 75
- 30.30°, I = 47
- 30.66°, I = 78
- 31.36°, I = 58
- 35.28°, I = 49

Crystal structure
```
K2LaP2Se7
1.0
9.6757 0.0000 0.0000
0.0000 7.3275 0.0000
-7.7548 0.0000 21.2148
K La P Se
8 4 8 28
Direct
0.1500 0.0788 0.3237
0.1500 0.4212 0.8237
0.2459 0.5250 0.4864
0.2459 0.9750 0.9864
0.7541 0.0250 0.0136
0.7541 0.4750 0.5136
0.8500 0.5788 0.1763
0.8500 0.9212 0.6763
0.3496 0.0246 0.6498
0.3496 0.4754 0.1498
0.6504 0.5246 0.8502
0.6504 0.9754 0.3502
0.0365 0.0216 0.4583
0.0365 0.4784 0.9583
0.4223 0.5215 0.3289
0.4223 0.9785 0.8289
0.5777 0.0215 0.1711
0.5777 0.4785 0.6711
0.9635 0.5216 0.0417
0.9635 0.9784 0.5417
0.0423 0.2202 0.6026
0.0423 0.2798 0.1026
0.0844 0.7380 0.5924
0.0844 0.7620 0.0924
0.2100 0.0401 0.7520
0.2100 0.4599 0.2520
0.2768 0.0603 0.4994
0.2768 0.4397 0.9994
0.4091 0.7368 0.8863
0.4091 0.7632 0.3863
0.4142 0.0934 0.2178
0.4142 0.4066 0.7178
0.4852 0.2145 0.8951
0.4852 0.2855 0.3951
0.5148 0.7145 0.6049
0.5148 0.7855 0.1049
0.5858 0.5934 0.2822
0.5858 0.9066 0.7822
0.5909 0.2368 0.6137
0.5909 0.2632 0.1137
0.7232 0.5603 0.0006
0.7232 0.9397 0.5006
0.7900 0.5401 0.7480
0.7900 0.9599 0.2480
0.9156 0.2380 0.9076
0.9156 0.2620 0.4076
0.9577 0.7202 0.8974
0.9577 0.7798 0.3974
```

=====

Sn2AuSeS3: computed powder XRD pattern (copper Kα), based on a cell relaxed with GGA-PBE.

Top 10 peaks for 10° ≤ 2θ ≤ 90°, low angle first:
- 12.44°, I = 89
- 22.95°, I = 97
- 24.71°, I = 78
- 26.89°, I = 90
- 31.49°, I = 100
- 32.24°, I = 64
- 34.21°, I = 62
- 41.40°, I = 52
- 46.57°, I = 54
- 46.89°, I = 92

Crystal structure
```
Sn2AuSeS3
1.0
3.8753 2.2374 7.1161
-3.8753 2.2374 7.1161
0.0000 -4.4748 7.1161
Sn Au Se S
4 2 2 6
Direct
0.0000 0.0000 0.0000
0.0000 0.0000 0.5000
0.0000 0.5000 0.0000
0.5000 0.0000 0.0000
0.4281 0.4281 0.4281
0.5719 0.5719 0.5719
0.2426 0.2426 0.2426
0.7574 0.7574 0.7574
0.2120 0.7485 0.7485
0.2515 0.2515 0.7880
0.2515 0.7880 0.2515
0.7485 0.2120 0.7485
0.7485 0.7485 0.2120
0.7880 0.2515 0.2515
```

=====

BaGa4O7: computed powder XRD pattern (copper Kα), based on a cell relaxed with GGA-PBE.

Top 10 peaks for 10° ≤ 2θ ≤ 90°, low angle first:
- 25.06°, I = 30
- 26.08°, I = 31
- 26.63°, I = 44
- 27.65°, I = 100
- 31.64°, I = 32
- 33.52°, I = 23
- 35.27°, I = 39
- 40.45°, I = 23
- 55.08°, I = 26
- 58.75°, I = 33

Crystal structure
```
BaGa4O7
1.0
13.3296 0.0000 0.0000
0.0000 5.3464 0.0000
0.0000 0.0000 5.0897
Ba Ga O
2 8 14
Direct
0.0000 0.1621 0.0000
0.5000 0.8379 0.5000
0.1182 0.6739 0.4824
0.2491 0.1834 0.4674
0.2509 0.8166 0.9674
0.3818 0.3261 0.9824
0.6182 0.3261 0.9824
0.7491 0.8166 0.9674
0.7509 0.1834 0.4674
0.8818 0.6739 0.4824
0.0000 0.8092 0.3630
0.1267 0.7352 0.8400
0.1296 0.3391 0.3983
0.2291 0.8517 0.3347
0.2709 0.1483 0.8347
0.3704 0.6609 0.8983
0.3733 0.2648 0.3400
0.5000 0.1908 0.8630
0.6267 0.2648 0.3400
0.6296 0.6609 0.8983
0.7291 0.1483 0.8347
0.7709 0.8517 0.3347
0.8704 0.3391 0.3983
0.8733 0.7352 0.8400
```

=====

NaMg9Hg3: computed powder XRD pattern (copper Kα), based on a cell relaxed with GGA-PBE.

Top 10 peaks for 10° ≤ 2θ ≤ 90°, low angle first:
- 12.42°, I = 21
- 17.61°, I = 100
- 24.93°, I = 23
- 25.08°, I = 18
- 34.31°, I = 30
- 34.82°, I = 29
- 35.65°, I = 32
- 38.99°, I = 24
- 39.92°, I = 22
- 40.14°, I = 19

Crystal structure
```
NaMg9Hg3
1.0
3.0287 -7.1447 0.0000
3.0287 7.1447 0.0000
-2.8675 0.0000 7.1001
Na Mg Hg
1 9 3
Direct
0.0000 0.0000 0.0000
0.0000 0.0000 0.5000
0.0096 0.6573 0.6575
0.2875 0.5098 0.7819
0.3427 0.9904 0.3425
0.4902 0.7125 0.2181
0.5098 0.2875 0.7819
0.6573 0.0096 0.6575
0.7125 0.4902 0.2181
0.9904 0.3427 0.3425
0.0000 0.5000 0.0000
0.5000 0.0000 0.0000
0.5000 0.5000 0.5000
```

=====

NdGa9Ir2: computed powder XRD pattern (copper Kα), based on a cell relaxed with GGA-PBE.

Top 10 peaks for 10° ≤ 2θ ≤ 90°, low angle first:
- 14.29°, I = 47
- 22.25°, I = 57
- 33.01°, I = 81
- 35.81°, I = 90
- 36.06°, I = 70
- 38.50°, I = 61
- 40.10°, I = 46
- 44.92°, I = 90
- 45.39°, I = 100
- 53.72°, I = 37

Crystal structure
```
NdGa9Ir2
1.0
-5.2284 5.2284 3.8464
5.2284 -5.2284 3.8464
5.2284 5.2284 -3.8464
Nd Ga Ir
2 18 4
Direct
0.3750 0.6250 0.7500
0.6250 0.3750 0.2500
0.1250 0.8750 0.2500
0.1412 0.5642 0.3361
0.1412 0.8052 0.5770
0.1948 0.2718 0.3361
0.1948 0.8588 0.9230
0.2718 0.1948 0.8361
0.2718 0.4358 0.0770
0.4358 0.2718 0.5770
0.4358 0.8588 0.1639
0.5642 0.1412 0.8361
0.5642 0.7282 0.4230
0.7282 0.5642 0.9230
0.7282 0.8052 0.1639
0.8052 0.1412 0.0770
0.8052 0.7282 0.6639
0.8588 0.1948 0.4230
0.8588 0.4358 0.6639
0.8750 0.1250 0.7500
0.0000 0.0000 0.0000
0.0000 0.0000 0.5000
0.0000 0.5000 0.0000
0.5000 0.0000 0.5000
```

=====

Ca2LaPdN: computed powder XRD pattern (copper Kα), based on a cell relaxed with GGA-PBE.

Top 10 peaks for 10° ≤ 2θ ≤ 90°, low angle first:
- 17.50°, I = 22
- 26.28°, I = 25
- 31.75°, I = 100
- 35.43°, I = 22
- 37.51°, I = 37
- 52.55°, I = 27
- 54.09°, I = 12
- 61.32°, I = 15
- 64.09°, I = 25
- 66.34°, I = 13

Crystal structure
```
Ca2LaPdN
1.0
4.7959 0.0000 0.0000
0.0000 4.7959 0.0000
0.0000 0.0000 5.0665
Ca La Pd N
2 1 1 1
Direct
0.0000 0.5000 0.0000
0.5000 0.0000 0.0000
0.0000 0.0000 0.5000
0.5000 0.5000 0.5000
0.0000 0.0000 0.0000
```

=====

Ga4CuRh2: computed powder XRD pattern (copper Kα), based on a cell relaxed with GGA-PBE.

Top 10 peaks for 10° ≤ 2θ ≤ 90°, low angle first:
- 35.82°, I = 77
- 37.07°, I = 31
- 38.99°, I = 49
- 40.25°, I = 100
- 41.19°, I = 46
- 42.36°, I = 29
- 42.61°, I = 67
- 45.14°, I = 36
- 45.50°, I = 33
- 46.09°, I = 37

Crystal structure
```
Ga4CuRh2
1.0
6.3831 0.0000 0.0000
0.0000 5.0175 0.0000
-2.6265 0.0000 6.5660
Ga Cu Rh
8 2 4
Direct
0.0091 0.2500 0.4279
0.0701 0.2500 0.8484
0.4282 0.0053 0.7710
0.4282 0.4947 0.7710
0.5718 0.5053 0.2290
0.5718 0.9947 0.2290
0.9299 0.7500 0.1516
0.9909 0.7500 0.5721
0.2420 0.2500 0.2337
0.7580 0.7500 0.7663
0.2127 0.7500 0.9737
0.3210 0.7500 0.4292
0.6790 0.2500 0.5708
0.7873 0.2500 0.0263
```

=====

BaAc5Pr4: computed powder XRD pattern (copper Kα), based on a cell relaxed with GGA-PBE.

Top 10 peaks for 10° ≤ 2θ ≤ 90°, low angle first:
- 27.90°, I = 100
- 32.10°, I = 39
- 32.78°, I = 12
- 46.04°, I = 15
- 46.54°, I = 18
- 49.12°, I = 8
- 54.69°, I = 32
- 57.66°, I = 10
- 58.94°, I = 7
- 77.87°, I = 7

Crystal structure
```
BaAc5Pr4
1.0
3.9431 0.0000 0.0000
0.0000 3.9431 0.0000
0.0000 0.0000 27.3242
Ba Ac Pr
1 5 4
Direct
0.0000 0.0000 0.0000
0.5000 0.5000 0.1172
0.5000 0.5000 0.3077
0.5000 0.5000 0.5000
0.5000 0.5000 0.6923
0.5000 0.5000 0.8828
0.0000 0.0000 0.2113
0.0000 0.0000 0.4038
0.0000 0.0000 0.5962
0.0000 0.0000 0.7887
```

=====

Cs12Na: computed powder XRD pattern (copper Kα), based on a cell relaxed with GGA-PBE.

Top 10 peaks for 10° ≤ 2θ ≤ 90°, low angle first:
- 17.71°, I = 24
- 19.83°, I = 100
- 21.74°, I = 26
- 23.50°, I = 74
- 37.01°, I = 58
- 38.13°, I = 16
- 39.21°, I = 36
- 43.33°, I = 17
- 54.19°, I = 20
- 55.02°, I = 17

Crystal structure
```
Cs12Na
1.0
-7.0809 7.0809 7.0809
7.0809 -7.0809 7.0809
7.0809 7.0809 -7.0809
Cs Na
12 1
Direct
0.1331 0.3090 0.8240
0.1760 0.4850 0.3090
0.1760 0.8669 0.6910
0.3090 0.1760 0.4850
0.3090 0.8240 0.1331
0.4850 0.3090 0.1760
0.5150 0.6910 0.8240
0.6910 0.1760 0.8669
0.6910 0.8240 0.5150
0.8240 0.1331 0.3090
0.8240 0.5150 0.6910
0.8669 0.6910 0.1760
0.0000 0.0000 0.0000
```

=====

LaHo6Tm: computed powder XRD pattern (copper Kα), based on a cell relaxed with GGA-PBE.

Top 8 peaks for 10° ≤ 2θ ≤ 90°, low angle first:
- 30.84°, I = 100
- 35.76°, I = 51
- 51.46°, I = 36
- 61.20°, I = 43
- 64.24°, I = 12
- 75.75°, I = 6
- 83.99°, I = 18
- 86.70°, I = 17

Crystal structure
```
LaHo6Tm
1.0
5.0235 0.0000 0.0000
0.0000 5.0235 0.0000
0.0000 0.0000 10.0412
La Ho Tm
1 6 1
Direct
0.0000 0.0000 0.0000
0.0000 0.5000 0.2552
0.0000 0.5000 0.7448
0.5000 0.0000 0.2552
0.5000 0.0000 0.7448
0.5000 0.5000 0.0000
0.5000 0.5000 0.5000
0.0000 0.0000 0.5000
```